No. 1
Diffraction record for Mg14FeNi. The powder diffraction line list is simulated, not measured: it uses the GGA-PBE geometry in the Materials Project and copper Kα.

Cell lengths 6.146, 6.146, 9.693 Å; angles 90.00, 90.00, 120.00 degrees
Fractional positions:
1 Mg 0.000 0.000 0.249
2 Mg 0.000 0.000 0.751
3 Mg 0.019 0.509 0.249
4 Mg 0.019 0.509 0.751
5 Mg 0.333 0.167 0.500
6 Mg 0.334 0.167 0.000
7 Mg 0.491 0.509 0.249
8 Mg 0.491 0.509 0.751
9 Mg 0.491 0.981 0.249
10 Mg 0.491 0.981 0.751
11 Mg 0.833 0.167 0.000
12 Mg 0.833 0.167 0.500
13 Mg 0.833 0.666 0.000
14 Mg 0.833 0.667 0.500
15 Fe 0.333 0.667 0.000
16 Ni 0.333 0.667 0.500

Main lines, in order of falling intensity (10 to 80 degrees two-theta):
- 2θ = 38.60°, intensity 100
- 2θ = 33.68°, intensity 26
- 2θ = 37.10°, intensity 25
- 2θ = 72.90°, intensity 18
- 2θ = 67.87°, intensity 17
- 2θ = 16.66°, intensity 17
- 2θ = 60.23°, intensity 16
- 2θ = 50.97°, intensity 15
- 2θ = 73.86°, intensity 13
- 2θ = 24.85°, intensity 7
- 2θ = 49.03°, intensity 5
- 2θ = 34.56°, intensity 4

***

No. 2
Diffraction record for Mg6FeNi. The powder diffraction line list is simulated, not measured: it uses the GGA-PBE geometry in the Materials Project and copper Kα.

Cell lengths 5.995, 5.995, 4.745 Å; angles 90.00, 90.00, 120.00 degrees
Fractional positions:
1 Mg 0.013 0.507 0.000
2 Mg 0.318 0.159 0.500
3 Mg 0.493 0.507 0.000
4 Mg 0.493 0.987 0.000
5 Mg 0.841 0.159 0.500
6 Mg 0.841 0.682 0.500
7 Fe 0.000 0.000 0.000
8 Ni 0.333 0.667 0.500

Main lines, in order of falling intensity (10 to 80 degrees two-theta):
- 2θ = 39.57°, intensity 100
- 2θ = 37.93°, intensity 25
- 2θ = 34.55°, intensity 25
- 2θ = 25.43°, intensity 20
- 2θ = 74.95°, intensity 18
- 2θ = 69.61°, intensity 17
- 2θ = 61.91°, intensity 16
- 2θ = 17.08°, intensity 15
- 2θ = 52.23°, intensity 14
- 2θ = 76.01°, intensity 13
- 2θ = 29.81°, intensity 10
- 2θ = 50.32°, intensity 9

***

No. 3
Diffraction record for Mg6FeNi. The powder diffraction line list is simulated, not measured: it uses the GGA-PBE geometry in the Materials Project and copper Kα.

Cell lengths 4.708, 6.131, 6.131 Å; angles 57.64, 90.00, 90.00 degrees
Fractional positions:
1 Mg 0.000 0.000 0.000
2 Mg 0.000 0.506 0.978
3 Mg 0.000 0.978 0.506
4 Mg 0.500 0.166 0.166
5 Mg 0.500 0.183 0.659
6 Mg 0.500 0.659 0.183
7 Fe 0.500 0.646 0.646
8 Ni 0.000 0.523 0.523

Main lines, in order of falling intensity (10 to 80 degrees two-theta):
- 2θ = 39.73°, intensity 100
- 2θ = 38.59°, intensity 68
- 2θ = 17.12°, intensity 49
- 2θ = 38.24°, intensity 44
- 2θ = 34.64°, intensity 38
- 2θ = 16.50°, intensity 24
- 2θ = 52.54°, intensity 21
- 2θ = 70.12°, intensity 19
- 2θ = 73.82°, intensity 16
- 2θ = 76.28°, intensity 15
- 2θ = 60.45°, intensity 15
- 2θ = 34.95°, intensity 11

***

No. 4
Diffraction record for MgFe2Ni4S8. The powder diffraction line list is simulated, not measured: it uses the GGA-PBE geometry in the Materials Project and copper Kα.

Cell lengths 6.940, 6.940, 6.940 Å; angles 56.91, 56.91, 56.91 degrees
Fractional positions:
1 Mg 0.000 0.000 0.000
2 Fe 0.139 0.139 0.139
3 Fe 0.861 0.861 0.861
4 Ni 0.000 0.500 0.500
5 Ni 0.500 0.000 0.500
6 Ni 0.500 0.500 0.000
7 Ni 0.500 0.500 0.500
8 S 0.260 0.739 0.739
9 S 0.261 0.261 0.740
10 S 0.261 0.740 0.261
11 S 0.262 0.262 0.262
12 S 0.738 0.738 0.738
13 S 0.739 0.260 0.739
14 S 0.739 0.739 0.260
15 S 0.740 0.261 0.261

Main lines, in order of falling intensity (10 to 80 degrees two-theta):
- 2θ = 37.61°, intensity 100
- 2θ = 52.89°, intensity 72
- 2θ = 55.58°, intensity 69
- 2θ = 31.14°, intensity 64
- 2θ = 31.66°, intensity 47
- 2θ = 26.96°, intensity 28
- 2θ = 30.07°, intensity 28
- 2θ = 48.52°, intensity 18
- 2θ = 49.60°, intensity 18
- 2θ = 50.32°, intensity 16
- 2θ = 69.06°, intensity 14
- 2θ = 25.73°, intensity 11

***

No. 5
Diffraction record for MgFe4P4S4. The powder diffraction line list is simulated, not measured: it uses the GGA-PBE geometry in the Materials Project and copper Kα.

Cell lengths 5.561, 5.827, 5.879 Å; angles 108.74, 90.38, 90.36 degrees
Fractional positions:
1 Mg 0.000 0.000 0.000
2 Fe 0.480 0.267 0.275
3 Fe 0.496 0.720 0.714
4 Fe 0.982 0.746 0.244
5 Fe 0.995 0.244 0.747
6 P 0.146 0.135 0.400
7 P 0.385 0.137 0.851
8 P 0.598 0.852 0.136
9 P 0.838 0.848 0.598
10 S 0.131 0.612 0.817
11 S 0.349 0.651 0.329
12 S 0.629 0.338 0.658
13 S 0.840 0.379 0.166

Main lines, in order of falling intensity (10 to 80 degrees two-theta):
- 2θ = 32.17°, intensity 100
- 2θ = 24.63°, intensity 100
- 2θ = 36.22°, intensity 60
- 2θ = 37.47°, intensity 58
- 2θ = 32.45°, intensity 51
- 2θ = 49.83°, intensity 43
- 2θ = 49.20°, intensity 39
- 2θ = 50.50°, intensity 37
- 2θ = 53.77°, intensity 37
- 2θ = 49.62°, intensity 31
- 2θ = 56.22°, intensity 30
- 2θ = 56.80°, intensity 29

***

No. 6
Diffraction record for MgFe4P4S4. The powder diffraction line list is simulated, not measured: it uses the GGA-PBE geometry in the Materials Project and copper Kα.

Cell lengths 5.567, 5.874, 5.956 Å; angles 70.31, 89.16, 88.51 degrees
Fractional positions:
1 Mg 0.000 0.000 0.000
2 Fe 0.006 0.251 0.247
3 Fe 0.492 0.722 0.284
4 Fe 0.506 0.285 0.709
5 Fe 0.993 0.755 0.747
6 P 0.160 0.866 0.402
7 P 0.352 0.352 0.346
8 P 0.646 0.654 0.647
9 P 0.843 0.144 0.595
10 S 0.144 0.386 0.831
11 S 0.382 0.854 0.853
12 S 0.616 0.152 0.140
13 S 0.850 0.617 0.158

Main lines, in order of falling intensity (10 to 80 degrees two-theta):
- 2θ = 48.93°, intensity 100
- 2θ = 24.08°, intensity 97
- 2θ = 31.92°, intensity 71
- 2θ = 32.38°, intensity 70
- 2θ = 35.95°, intensity 69
- 2θ = 24.69°, intensity 66
- 2θ = 49.78°, intensity 63
- 2θ = 37.70°, intensity 52
- 2θ = 32.17°, intensity 51
- 2θ = 53.84°, intensity 51
- 2θ = 56.23°, intensity 46
- 2θ = 56.75°, intensity 45

***

No. 7
Diffraction record for MgFe4P4S4. The powder diffraction line list is simulated, not measured: it uses the GGA-PBE geometry in the Materials Project and copper Kα.

Cell lengths 5.556, 5.825, 5.871 Å; angles 108.40, 90.39, 90.60 degrees
Fractional positions:
1 Mg 0.000 0.000 0.000
2 Fe 0.008 0.256 0.754
3 Fe 0.491 0.265 0.276
4 Fe 0.509 0.735 0.724
5 Fe 0.992 0.744 0.246
6 P 0.154 0.137 0.402
7 P 0.395 0.145 0.858
8 P 0.605 0.855 0.142
9 P 0.846 0.863 0.598
10 S 0.148 0.620 0.822
11 S 0.362 0.652 0.334
12 S 0.638 0.348 0.666
13 S 0.852 0.380 0.178

Main lines, in order of falling intensity (10 to 80 degrees two-theta):
- 2θ = 32.17°, intensity 100
- 2θ = 24.67°, intensity 97
- 2θ = 37.53°, intensity 56
- 2θ = 32.40°, intensity 50
- 2θ = 49.92°, intensity 42
- 2θ = 53.59°, intensity 38
- 2θ = 49.28°, intensity 37
- 2θ = 36.11°, intensity 31
- 2θ = 49.58°, intensity 30
- 2θ = 36.24°, intensity 30
- 2θ = 56.14°, intensity 30
- 2θ = 56.89°, intensity 29

***

No. 8
Diffraction record for RbMg6Fe. The powder diffraction line list is simulated, not measured: it uses the GGA-PBE geometry in the Materials Project and copper Kα.

Cell lengths 5.034, 6.772, 6.772 Å; angles 59.71, 90.00, 90.00 degrees
Fractional positions:
1 Rb 0.000 0.000 0.000
2 Mg 0.000 0.014 0.471
3 Mg 0.000 0.471 0.014
4 Mg 0.000 0.496 0.496
5 Mg 0.500 0.175 0.617
6 Mg 0.500 0.617 0.175
7 Mg 0.500 0.664 0.664
8 Fe 0.500 0.201 0.201

Main lines, in order of falling intensity (10 to 80 degrees two-theta):
- 2θ = 35.51°, intensity 100
- 2θ = 23.29°, intensity 50
- 2θ = 35.39°, intensity 37
- 2θ = 15.15°, intensity 35
- 2θ = 35.67°, intensity 33
- 2θ = 63.95°, intensity 23
- 2θ = 66.59°, intensity 21
- 2θ = 47.63°, intensity 20
- 2θ = 30.58°, intensity 19
- 2θ = 30.44°, intensity 16
- 2θ = 40.71°, intensity 15
- 2θ = 31.86°, intensity 14

***

No. 9
Diffraction record for RbMg6Fe. The powder diffraction line list is simulated, not measured: it uses the GGA-PBE geometry in the Materials Project and copper Kα.

Cell lengths 5.317, 6.591, 6.591 Å; angles 60.53, 90.00, 90.00 degrees
Fractional positions:
1 Rb 0.000 0.000 0.000
2 Mg 0.000 0.501 0.992
3 Mg 0.000 0.992 0.501
4 Mg 0.500 0.339 0.339
5 Mg 0.500 0.356 0.805
6 Mg 0.500 0.805 0.356
7 Mg 0.500 0.819 0.819
8 Fe 0.000 0.520 0.520

Main lines, in order of falling intensity (10 to 80 degrees two-theta):
- 2θ = 35.56°, intensity 100
- 2θ = 35.78°, intensity 40
- 2θ = 33.71°, intensity 37
- 2θ = 22.87°, intensity 26
- 2θ = 31.18°, intensity 25
- 2θ = 15.57°, intensity 23
- 2θ = 16.67°, intensity 20
- 2θ = 61.50°, intensity 19
- 2θ = 31.43°, intensity 17
- 2θ = 46.58°, intensity 16
- 2θ = 66.80°, intensity 16
- 2θ = 55.80°, intensity 14

***

No. 10
Diffraction record for RbMg14Fe. The powder diffraction line list is simulated, not measured: it uses the GGA-PBE geometry in the Materials Project and copper Kα.

Cell lengths 10.458, 6.521, 6.521 Å; angles 59.56, 90.00, 90.00 degrees
Fractional positions:
1 Rb 0.000 0.000 0.000
2 Mg 0.000 0.009 0.492
3 Mg 0.000 0.492 0.009
4 Mg 0.231 0.647 0.647
5 Mg 0.257 0.165 0.640
6 Mg 0.257 0.640 0.165
7 Mg 0.271 0.160 0.160
8 Mg 0.500 0.489 0.489
9 Mg 0.500 0.496 0.982
10 Mg 0.500 0.982 0.496
11 Mg 0.500 0.985 0.985
12 Mg 0.729 0.160 0.160
13 Mg 0.743 0.165 0.640
14 Mg 0.743 0.640 0.165
15 Mg 0.769 0.647 0.647
16 Fe 0.000 0.469 0.469

Main lines, in order of falling intensity (10 to 80 degrees two-theta):
- 2θ = 36.28°, intensity 100
- 2θ = 36.09°, intensity 52
- 2θ = 34.30°, intensity 39
- 2θ = 31.83°, intensity 29
- 2θ = 47.49°, intensity 18
- 2θ = 62.72°, intensity 17
- 2θ = 67.74°, intensity 17
- 2θ = 56.44°, intensity 16
- 2θ = 17.83°, intensity 15
- 2θ = 69.21°, intensity 14
- 2θ = 31.62°, intensity 11
- 2θ = 23.18°, intensity 10

***

No. 11
Diffraction record for MgFe2S4. The powder diffraction line list is simulated, not measured: it uses the GGA-PBE geometry in the Materials Project and copper Kα.

Cell lengths 6.976, 6.976, 6.976 Å; angles 120.45, 118.42, 90.99 degrees
Fractional positions:
1 Mg 0.000 0.000 0.000
2 Mg 0.500 0.000 0.500
3 Fe 0.000 0.500 0.500
4 Fe 0.500 0.000 0.000
5 Fe 0.500 0.500 0.000
6 Fe 0.500 0.500 0.500
7 S 0.262 0.270 0.508
8 S 0.262 0.754 0.992
9 S 0.279 0.745 0.535
10 S 0.290 0.255 0.035
11 S 0.710 0.745 0.965
12 S 0.721 0.255 0.465
13 S 0.738 0.246 0.008
14 S 0.738 0.730 0.492

Main lines, in order of falling intensity (10 to 80 degrees two-theta):
- 2θ = 36.12°, intensity 100
- 2θ = 15.36°, intensity 78
- 2θ = 52.49°, intensity 60
- 2θ = 36.76°, intensity 48
- 2θ = 30.11°, intensity 19
- 2θ = 66.11°, intensity 18
- 2θ = 15.67°, intensity 17
- 2θ = 52.85°, intensity 16
- 2θ = 51.16°, intensity 15
- 2θ = 64.64°, intensity 14
- 2θ = 47.25°, intensity 13
- 2θ = 76.65°, intensity 8

***

No. 12
Diffraction record for MgFe4S8. The powder diffraction line list is simulated, not measured: it uses the GGA-PBE geometry in the Materials Project and copper Kα.

Cell lengths 6.773, 6.773, 6.773 Å; angles 59.68, 59.68, 59.68 degrees
Fractional positions:
1 Mg 0.000 0.000 0.000
2 Fe 0.000 0.500 0.500
3 Fe 0.500 0.000 0.500
4 Fe 0.500 0.500 0.000
5 Fe 0.500 0.500 0.500
6 S 0.259 0.259 0.259
7 S 0.262 0.262 0.718
8 S 0.262 0.718 0.262
9 S 0.282 0.738 0.738
10 S 0.718 0.262 0.262
11 S 0.738 0.282 0.738
12 S 0.738 0.738 0.282
13 S 0.741 0.741 0.741

Main lines, in order of falling intensity (10 to 80 degrees two-theta):
- 2θ = 37.66°, intensity 100
- 2θ = 16.09°, intensity 50
- 2θ = 15.99°, intensity 32
- 2θ = 54.17°, intensity 31
- 2θ = 54.46°, intensity 30
- 2θ = 31.09°, intensity 21
- 2θ = 68.10°, intensity 14
- 2θ = 49.61°, intensity 11
- 2θ = 57.15°, intensity 8
- 2θ = 49.47°, intensity 6
- 2θ = 67.60°, intensity 5
- 2θ = 30.94°, intensity 4

***

No. 13
Diffraction record for MgFe2S4. The powder diffraction line list is simulated, not measured: it uses the GGA-PBE geometry in the Materials Project and copper Kα.

Cell lengths 6.972, 6.972, 6.972 Å; angles 60.00, 60.00, 60.00 degrees
Fractional positions:
1 Mg 0.125 0.125 0.125
2 Mg 0.875 0.875 0.875
3 Fe 0.000 0.500 0.500
4 Fe 0.500 0.000 0.500
5 Fe 0.500 0.500 0.000
6 Fe 0.500 0.500 0.500
7 S 0.267 0.267 0.267
8 S 0.267 0.267 0.699
9 S 0.267 0.699 0.267
10 S 0.301 0.733 0.733
11 S 0.699 0.267 0.267
12 S 0.733 0.301 0.733
13 S 0.733 0.733 0.301
14 S 0.733 0.733 0.733

Main lines, in order of falling intensity (10 to 80 degrees two-theta):
- 2θ = 15.57°, intensity 100
- 2θ = 36.45°, intensity 96
- 2θ = 52.50°, intensity 87
- 2θ = 30.06°, intensity 71
- 2θ = 47.94°, intensity 56
- 2θ = 55.11°, intensity 16
- 2θ = 65.60°, intensity 16
- 2θ = 67.89°, intensity 13
- 2θ = 73.83°, intensity 13
- 2θ = 25.55°, intensity 12
- 2θ = 77.44°, intensity 11
- 2θ = 61.69°, intensity 10